1.
Structure and computed powder diffractogram of Zn6HO6 (a structure optimized by DFT (PBE); Cu Kα X-rays).
Lines closer than 0.1° are merged.

The 10 most intense peaks (2θ = 10–80°), by intensity:
2θ/deg	Rel. int.
22.16	100
35.38	92
38.88	46
56.16	42
58.67	22
61.12	21
31.54	21
77.03	20
50.90	19
65.85	18

Cell and atoms:
Unit cell a=5.673 b=5.673 c=5.673 alpha=90.00 beta=90.00 gamma=90.00
Element x y z (fractional)
Zn1 0.000 0.250 0.500
Zn2 0.000 0.750 0.500
Zn3 0.250 0.500 0.000
Zn4 0.500 0.000 0.250
Zn5 0.500 0.000 0.750
Zn6 0.750 0.500 0.000
H1 0.000 0.000 0.000
O1 0.000 0.500 0.251
O2 0.000 0.500 0.749
O3 0.251 0.000 0.500
O4 0.500 0.251 0.000
O5 0.500 0.749 0.000
O6 0.749 0.000 0.500

2.
Structure and computed powder diffractogram of Zr4HO2 (a structure optimized by DFT (PBE); Cu Kα X-rays).
Lines closer than 0.1° are merged.

The 10 most intense peaks (2θ = 10–80°), by intensity:
2θ/deg	Rel. int.
36.23	100
35.47	56
34.17	32
55.61	22
47.38	22
62.52	19
66.91	18
31.82	17
69.16	15
62.02	10

Cell and atoms:
Unit cell a=6.158 b=6.158 c=6.614 alpha=104.75 beta=104.75 gamma=116.94
Element x y z (fractional)
Zr1 0.004 0.996 0.500
Zr2 0.410 0.919 0.829
Zr3 0.417 0.905 0.328
Zr4 0.491 0.503 0.001
Zr5 0.503 0.491 0.501
Zr6 0.905 0.417 0.828
Zr7 0.919 0.410 0.329
Zr8 0.996 0.004 0.000
H1 0.710 0.959 0.168
H2 0.959 0.710 0.668
O1 0.207 0.455 0.665
O2 0.455 0.207 0.165
O3 0.704 0.956 0.664
O4 0.956 0.704 0.164

3.
Structure and computed powder diffractogram of HOs2 (a structure optimized by DFT (PBE); Cu Kα X-rays).
Lines closer than 0.1° are merged.

The 9 most intense peaks (2θ = 10–80°), by intensity:
2θ/deg	Rel. int.
39.60	100
45.93	66
39.18	33
67.27	22
66.69	21
19.30	2
60.70	2
50.26	2
60.39	1

Cell and atoms:
Unit cell a=2.784 b=2.784 c=13.795 alpha=90.00 beta=90.00 gamma=120.00
Element x y z (fractional)
H1 0.000 0.000 0.000
H2 0.333 0.667 0.667
H3 0.667 0.333 0.333
Os1 0.000 0.000 0.244
Os2 0.000 0.000 0.756
Os3 0.333 0.667 0.422
Os4 0.333 0.667 0.911
Os5 0.667 0.333 0.089
Os6 0.667 0.333 0.578

4.
Structure and computed powder diffractogram of PaSiHOs2 (a structure optimized by DFT (PBE); Cu Kα X-rays).
Lines closer than 0.1° are merged.

The 10 most intense peaks (2θ = 10–80°), by intensity:
2θ/deg	Rel. int.
36.60	100
32.28	54
43.38	54
35.33	44
43.62	40
26.90	33
35.09	30
74.74	30
32.01	27
57.37	27

Cell and atoms:
Unit cell a=5.965 b=5.965 c=6.330 alpha=90.00 beta=90.00 gamma=139.29
Element x y z (fractional)
Pa1 0.083 0.917 0.750
Pa2 0.917 0.083 0.250
Si1 0.187 0.813 0.250
Si2 0.813 0.187 0.750
H1 0.500 0.500 0.000
H2 0.500 0.500 0.500
Os1 0.339 0.661 0.534
Os2 0.339 0.661 0.966
Os3 0.661 0.339 0.034
Os4 0.661 0.339 0.466

5.
Structure and computed powder diffractogram of HOsPb3 (a structure optimized by DFT (PBE); Cu Kα X-rays).
Lines closer than 0.1° are merged.

The 10 most intense peaks (2θ = 10–80°), by intensity:
2θ/deg	Rel. int.
16.82	100
34.01	78
48.87	57
38.18	54
29.35	43
52.05	28
58.03	20
60.88	20
74.17	16
63.65	12

Cell and atoms:
Unit cell a=5.271 b=5.271 c=5.271 alpha=90.00 beta=90.00 gamma=90.00
Element x y z (fractional)
H1 0.000 0.000 0.000
Os1 0.500 0.500 0.500
Pb1 0.000 0.500 0.500
Pb2 0.500 0.000 0.500
Pb3 0.500 0.500 0.000

6.
Structure and computed powder diffractogram of H2OsPd (a structure optimized by DFT (PBE); Cu Kα X-rays).
Lines closer than 0.1° are merged.

The 10 most intense peaks (2θ = 10–80°), by intensity:
2θ/deg	Rel. int.
37.17	100
42.00	35
73.55	27
63.61	21
45.47	14
60.91	12
78.49	11
79.19	11
23.49	11
48.68	3

Cell and atoms:
Unit cell a=4.302 b=4.302 c=7.979 alpha=90.00 beta=90.00 gamma=90.00
Element x y z (fractional)
H1 0.240 0.250 0.125
H2 0.250 0.740 0.375
H3 0.250 0.760 0.875
H4 0.260 0.250 0.625
H5 0.740 0.750 0.625
H6 0.750 0.240 0.875
H7 0.750 0.260 0.375
H8 0.760 0.750 0.125
Os1 0.000 0.000 0.000
Os2 0.000 0.500 0.250
Os3 0.500 0.000 0.750
Os4 0.500 0.500 0.500
Pd1 0.000 0.000 0.500
Pd2 0.000 0.500 0.750
Pd3 0.500 0.000 0.250
Pd4 0.500 0.500 0.000

7.
Structure and computed powder diffractogram of Pm6HOs2 (a structure optimized by DFT (PBE); Cu Kα X-rays).
Lines closer than 0.1° are merged.

The 10 most intense peaks (2θ = 10–80°), by intensity:
2θ/deg	Rel. int.
31.51	100
33.52	77
33.43	73
31.30	63
30.41	54
37.13	52
33.61	40
47.76	39
38.80	39
37.96	38

Cell and atoms:
Unit cell a=6.486 b=7.457 c=11.532 alpha=90.00 beta=124.07 gamma=90.00
Element x y z (fractional)
Pm1 0.102 0.175 0.434
Pm2 0.102 0.325 0.934
Pm3 0.265 0.672 0.435
Pm4 0.265 0.828 0.935
Pm5 0.387 0.041 0.250
Pm6 0.387 0.459 0.750
Pm7 0.613 0.541 0.250
Pm8 0.613 0.959 0.750
Pm9 0.735 0.172 0.065
Pm10 0.735 0.328 0.565
Pm11 0.898 0.675 0.066
Pm12 0.898 0.825 0.566
H1 0.000 0.000 0.000
H2 0.000 0.500 0.500
Os1 0.199 0.115 0.747
Os2 0.199 0.385 0.247
Os3 0.801 0.615 0.753
Os4 0.801 0.885 0.253

8.
Structure and computed powder diffractogram of PrH7Os2 (a structure optimized by DFT (PBE); Cu Kα X-rays).
Lines closer than 0.1° are merged.

The 10 most intense peaks (2θ = 10–80°), by intensity:
2θ/deg	Rel. int.
32.94	100
32.79	38
33.35	31
47.48	27
58.64	21
59.35	19
65.52	17
26.65	12
42.86	10
65.77	9

Cell and atoms:
Unit cell a=5.439 b=5.439 c=3.345 alpha=90.00 beta=90.00 gamma=120.80
Element x y z (fractional)
Pr1 0.000 0.000 0.000
H1 0.031 0.330 0.500
H2 0.330 0.031 0.500
H3 0.374 0.626 0.000
H4 0.500 0.500 0.500
H5 0.626 0.374 0.000
H6 0.670 0.969 0.500
H7 0.969 0.670 0.500
Os1 0.316 0.684 0.500
Os2 0.684 0.316 0.500